No. 1
Calculated powder XRD pattern
Compound: ReWO6
Radiation: Cu Kα (λ = 1.5418 Å)
Structure: a PBE+U-relaxed structure
Kinematic intensities with the Lorentz-polarization factor, no thermal factor.

Structural model:
```
8
Lattice="0.0000 3.8326 3.8326 3.8326 0.0000 3.8326 3.8326 3.8326 0.0000" Properties=species:S:1:pos:R:3 pbc="T T T"
Re 0.0000 0.0000 0.0000
W 3.8326 3.8326 3.8326
O 3.8326 3.8326 1.8931
O 3.8326 1.8931 3.8326
O 5.7721 3.8326 3.8326
O 1.8931 3.8326 3.8326
O 3.8326 5.7721 3.8326
O 3.8326 3.8326 5.7721
```

Top 10 peaks for 10 to 90 degrees two-theta, sorted by position:
d_spacing	2theta	I_rel
3.833	23.21	100
2.710	33.05	56
2.213	40.78	14
1.916	47.44	19
1.714	53.46	41
1.565	59.04	23
1.355	69.35	12
1.278	74.23	19
1.212	79.00	10
1.156	83.69	7

No. 2
Calculated powder XRD pattern
Compound: MgMn6O8F4
Radiation: Cu Kα (λ = 1.5418 Å)
Structure: a PBE+U-relaxed structure
Kinematic intensities with the Lorentz-polarization factor, no thermal factor.

Structural model:
```
19
Lattice="4.9947 0.0000 0.0000 -0.0402 5.6217 0.0000 -0.1805 -0.8310 7.7964" Properties=species:S:1:pos:R:3 pbc="T T T"
Mg 0.0000 0.0000 0.0000
Mn -0.0464 3.3232 1.3652
Mn -0.0734 5.1560 3.6752
Mn 2.1550 3.9625 6.3088
Mn 2.4920 0.7338 1.3127
Mn 2.5817 2.4334 3.8648
Mn 4.7935 1.4700 6.3641
O 0.5315 2.9002 7.3394
O 0.7684 5.1600 1.8038
O 1.4815 3.9753 4.5485
O 1.4762 -0.0143 7.1902
O 3.2212 2.4324 5.6612
O 3.3225 0.7689 3.1132
O 4.1015 1.7385 0.5638
O 4.0552 3.5711 3.0495
F 0.7837 1.1721 4.5037
F 1.6414 2.4591 2.1302
F 3.2905 4.6079 0.3208
F 4.0945 -0.4017 5.8602
```

Top 10 peaks for 10 to 90 degrees two-theta, sorted by position:
d_spacing	2theta	I_rel
3.468	25.69	100
3.446	25.86	96
2.631	34.08	32
2.599	34.51	27
2.575	34.84	22
2.547	35.24	23
2.497	35.97	22
2.284	39.46	23
1.768	51.71	35
1.525	60.75	20

No. 3
Calculated powder XRD pattern
Compound: MgCrO15
Radiation: Cu Kα (λ = 1.5418 Å)
Structure: a PBE+U-relaxed structure
Kinematic intensities with the Lorentz-polarization factor, no thermal factor.

Structural model:
```
34
Lattice="5.6175 0.0000 0.0000 -2.7521 6.8424 0.0000 -0.2436 -2.8526 12.3323" Properties=species:S:1:pos:R:3 pbc="T T T"
Mg 0.0000 0.0000 0.0000
Mg -0.1218 -1.4263 6.1662
Cr 0.4660 4.0680 2.4054
Cr 2.1558 -0.0782 9.9269
O -2.7478 4.3346 9.1727
O -2.5269 5.9919 2.0374
O 0.3417 -0.9042 4.2030
O -1.3046 2.6961 11.3595
O -0.6609 3.2273 5.8207
O 0.0250 1.0991 7.8277
O -0.2875 3.8012 0.9577
O -0.0688 2.8737 3.4384
O -0.9275 4.3629 6.2299
O 0.6299 0.3801 6.8189
O 0.4940 0.1038 10.0843
O 1.8853 0.9934 0.1617
O -0.0397 2.7430 11.1025
O 0.5713 2.2092 8.0413
O 2.3826 -1.6074 9.3325
O 0.2392 5.5971 2.9999
O 2.0505 1.7806 4.2910
O 2.6615 1.2468 1.2298
O 0.7365 2.9963 12.1707
O 2.1278 3.8860 2.2480
O 1.9919 3.6096 5.5135
O 3.5493 -0.3732 6.1024
O 2.6906 1.1161 8.8939
O 2.9093 0.1885 11.3747
O 2.5968 2.8907 4.5047
O 3.2827 0.7624 6.5116
O 3.9264 1.2937 0.9728
O 2.2801 4.8940 8.1293
O 5.1487 -2.0022 10.2949
O 5.3696 -0.3448 3.1597
```

Top 10 peaks for 10 to 90 degrees two-theta, sorted by position:
d_spacing	2theta	I_rel
6.510	13.60	40
5.379	16.48	62
5.176	17.13	27
4.651	19.08	35
3.830	23.23	45
3.492	25.51	73
3.478	25.61	48
3.075	29.03	100
2.808	31.87	47
2.566	34.96	29

No. 4
Calculated powder XRD pattern
Compound: Li9Mn2Co5O16
Radiation: Cu Kα (λ = 1.5418 Å)
Structure: a PBE+U-relaxed structure
Kinematic intensities with the Lorentz-polarization factor, no thermal factor.

Structural model:
```
32
Lattice="3.0078 0.0000 0.0000 0.4327 9.9056 0.0000 1.3303 2.9214 9.8028" Properties=species:S:1:pos:R:3 pbc="T T T"
Li 0.0000 0.0000 0.0000
Li 1.4614 5.6213 8.5394
Li 1.7867 11.1442 6.1797
Li 1.6922 6.6512 3.6667
Li 1.5520 2.1607 1.2127
Li 3.2188 10.6664 8.5902
Li 3.0785 6.1758 6.1361
Li 2.9840 1.6828 3.6231
Li 3.3094 7.2058 1.2634
Mn 1.5526 3.9296 4.9362
Mn 3.2182 8.8975 4.8667
Co 1.6228 8.3867 7.3597
Co 1.8779 9.4324 2.3310
Co 1.7202 4.9528 0.0000
Co 2.8929 3.3947 7.4718
Co 3.1479 4.4404 2.4431
O 1.6052 9.1555 9.1656
O 1.6717 12.0693 7.9436
O 1.5339 7.6011 5.5590
O 1.5787 4.6812 6.7171
O 1.9026 10.1686 4.1387
O 1.6020 3.1786 3.1246
O 1.6794 5.6983 1.8063
O 1.8585 8.6012 0.8102
O 2.9122 4.2258 8.9926
O 3.0914 7.1288 7.9965
O 3.1688 9.6484 6.6782
O 2.8682 2.6584 5.6641
O 3.1920 8.1459 3.0857
O 3.2368 5.2260 4.2438
O 3.0991 0.7578 1.8593
O 3.1656 3.6715 0.6372
```

Top 10 peaks for 10 to 90 degrees two-theta, sorted by position:
d_spacing	2theta	I_rel
4.850	18.29	100
2.600	34.49	18
2.490	36.07	14
2.451	36.67	11
2.425	37.07	8
2.178	41.46	33
2.066	43.81	28
2.028	44.69	25
1.502	61.77	8
1.436	64.96	9